(1)
Computed X-ray diffraction stick pattern
Compound: NaTeIrO6
Radiation: Cu Kα
Structure: the GGA-PBE geometry in Alexandria
Kinematic intensities with the Lorentz-polarization factor, no thermal factor.

Crystal structure
Cell: 5.2688 5.2688 10.4315 Å, 90.00 90.00 120.00°
Atoms (fractional coordinates):
Na1 0.0000 0.0000 0.0000
Na2 0.0000 0.0000 0.5000
Te1 0.3333 0.6667 0.2500
Te2 0.6667 0.3333 0.7500
Ir1 0.3333 0.6667 0.7500
Ir2 0.6667 0.3333 0.2500
O1 0.0013 0.3712 0.6464
O2 0.0013 0.6300 0.8536
O3 0.3700 0.3712 0.8536
O4 0.3700 0.9987 0.6464
O5 0.3712 0.0013 0.1464
O6 0.3712 0.3700 0.3536
O7 0.6288 0.6300 0.6464
O8 0.6288 0.9987 0.8536
O9 0.6300 0.0013 0.3536
O10 0.6300 0.6288 0.1464
O11 0.9987 0.3700 0.1464
O12 0.9987 0.6288 0.3536

Principal peaks in the range 15 to 90 degrees two-theta, low angle first:
| Position (°2θ) | d (Å) | I_rel | h k l |
| --- | --- | --- | --- |
| 17.0 | 5.216 | 100 | 0 0 2 |
| 19.5 | 4.563 | 46 | 1 0 0 |
| 25.9 | 3.434 | 75 | 1 0 2 |
| 34.0 | 2.634 | 45 | 1 1 0 |
| 38.3 | 2.351 | 65 | 1 1 2 |
| 43.3 | 2.090 | 17 | 2 0 2 |
| 49.2 | 1.853 | 54 | 1 1 4 |
| 56.2 | 1.637 | 17 | 2 1 2 |
| 63.7 | 1.460 | 17 | 3 0 2 |
| 64.2 | 1.451 | 18 | 2 -1 6 |

(2)
Computed X-ray diffraction stick pattern
Compound: NaTl2IrO8
Radiation: Cu Kα
Structure: the GGA-PBE geometry in Alexandria
Kinematic intensities with the Lorentz-polarization factor, no thermal factor.

Crystal structure
Cell: 4.4566 5.2650 6.9287 Å, 89.99 89.94 88.32°
Atoms (fractional coordinates):
Na1 0.0000 0.0000 0.0000
Tl1 0.4997 0.5000 0.2622
Tl2 0.5003 0.5000 0.7378
Ir1 0.0000 0.0000 0.5000
O1 0.1382 0.4255 0.0000
O2 0.2086 0.3160 0.5002
O3 0.2524 0.8750 0.7041
O4 0.2530 0.8756 0.2956
O5 0.7470 0.1244 0.7044
O6 0.7476 0.1250 0.2959
O7 0.7914 0.6840 0.4998
O8 0.8618 0.5745 0.0000

Principal peaks in the range 15 to 90 degrees two-theta, low angle first:
| Position (°2θ) | d (Å) | I_rel | h k l |
| --- | --- | --- | --- |
| 21.2 | 4.191 | 20 | 0 1 -1 |
| 25.8 | 3.450 | 79 | 1 1 0 |
| 26.6 | 3.352 | 70 | 1 -1 0 |
| 30.9 | 2.894 | 77 | 0 1 2 |
| 32.7 | 2.735 | 100 | 1 0 2 |
| 34.1 | 2.631 | 41 | 0 2 0 |
| 47.5 | 1.913 | 32 | 1 2 2 |
| 48.4 | 1.879 | 32 | 1 -2 2 |
| 51.4 | 1.779 | 28 | 2 1 2 |
| 59.0 | 1.565 | 20 | 0 3 2 |